Starting from a DFT-relaxed cell (GGA-PBE, Alexandria), the powder XRD pattern of Rb2USbS6 was computed for CuKα.
Neutral-atom scattering factors, no anomalous dispersion.

Main lines, in order of falling intensity (10° ≤ 2θ ≤ 90°):
- 2θ = 24.4°, I 100
- 2θ = 24.1°, I 99
- 2θ = 34.6°, I 98
- 2θ = 17.1°, I 64
- 2θ = 42.6°, I 48
- 2θ = 49.9°, I 33
- 2θ = 49.4°, I 32
- 2θ = 42.5°, I 26
- 2θ = 43.0°, I 23
- 2θ = 56.2°, I 22
- 2θ = 55.9°, I 21
- 2θ = 14.7°, I 18

Crystal structure
a b c (Å): 7.305 7.305 7.305
angles (deg): 60.63 60.63 60.63
Element x y z (fractional)
Rb 0.249 0.249 0.249
Rb 0.751 0.751 0.751
U 0.500 0.500 0.500
Sb 0.000 0.000 0.000
S 0.220 0.742 0.292
S 0.258 0.708 0.780
S 0.292 0.220 0.742
S 0.708 0.780 0.258
S 0.742 0.292 0.220
S 0.780 0.258 0.708

Starting from a DFT-relaxed cell (GGA-PBE, Alexandria), the powder XRD pattern of Tb6CeTm was computed for CuKα.
Neutral-atom scattering factors, no anomalous dispersion.

Main lines, in order of falling intensity (10° ≤ 2θ ≤ 90°):
- 2θ = 30.9°, I 100
- 2θ = 35.8°, I 51
- 2θ = 61.3°, I 43
- 2θ = 51.5°, I 36
- 2θ = 84.1°, I 18
- 2θ = 86.8°, I 17
- 2θ = 64.3°, I 12
- 2θ = 75.9°, I 6

Crystal structure
a b c (Å): 5.018 5.018 10.026
angles (deg): 90.00 90.00 90.00
Element x y z (fractional)
Tb 0.000 0.000 0.000
Tb 0.000 0.000 0.500
Tb 0.000 0.500 0.250
Tb 0.000 0.500 0.750
Tb 0.500 0.000 0.250
Tb 0.500 0.000 0.750
Ce 0.500 0.500 0.000
Tm 0.500 0.500 0.500

Starting from a DFT-relaxed cell (GGA-PBE, Alexandria), the powder XRD pattern of HfTi2B6 was computed for CuKα.
Neutral-atom scattering factors, no anomalous dispersion.

Main lines, in order of falling intensity (10° ≤ 2θ ≤ 90°):
- 2θ = 43.5°, I 100
- 2θ = 19.3°, I 74
- 2θ = 33.7°, I 73
- 2θ = 33.1°, I 42
- 2θ = 26.6°, I 35
- 2θ = 60.3°, I 21
- 2θ = 66.0°, I 21
- 2θ = 77.2°, I 17
- 2θ = 67.1°, I 16
- 2θ = 59.9°, I 16
- 2θ = 85.9°, I 15
- 2θ = 48.0°, I 15

Crystal structure
a b c (Å): 5.315 5.315 3.347
angles (deg): 90.00 90.00 120.00
Element x y z (fractional)
Hf 0.000 0.000 0.000
Ti 0.333 0.667 0.000
Ti 0.667 0.333 0.000
B 0.000 0.337 0.500
B 0.000 0.663 0.500
B 0.337 0.000 0.500
B 0.337 0.337 0.500
B 0.663 0.000 0.500
B 0.663 0.663 0.500

Starting from a DFT-relaxed cell (GGA-PBE, Alexandria), the powder XRD pattern of ZrPa2Pd9 was computed for CuKα.
Neutral-atom scattering factors, no anomalous dispersion.

Main lines, in order of falling intensity (10° ≤ 2θ ≤ 90°):
- 2θ = 37.8°, I 100
- 2θ = 43.7°, I 33
- 2θ = 76.4°, I 25
- 2θ = 63.9°, I 21
- 2θ = 44.2°, I 16
- 2θ = 77.0°, I 12
- 2θ = 63.6°, I 11
- 2θ = 80.7°, I 11
- 2θ = 21.5°, I 4
- 2θ = 30.7°, I 4
- 2θ = 25.9°, I 3
- 2θ = 22.7°, I 2

Crystal structure
a b c (Å): 4.140 4.140 12.297
angles (deg): 90.00 90.00 90.00
Element x y z (fractional)
Zr 0.000 0.000 0.000
Pa 0.000 0.000 0.328
Pa 0.000 0.000 0.672
Pd 0.000 0.500 0.161
Pd 0.000 0.500 0.500
Pd 0.000 0.500 0.839
Pd 0.500 0.000 0.161
Pd 0.500 0.000 0.500
Pd 0.500 0.000 0.839
Pd 0.500 0.500 0.000
Pd 0.500 0.500 0.330
Pd 0.500 0.500 0.670